1.
Calculated powder diffractogram of K3Th for Cu Kα, from the GGA-PBE geometry in the Materials Project.

Structure:
```
K3Th
1.0
6.0182 0.0000 0.0000
0.0000 6.0182 0.0000
0.0000 0.0000 6.0182
K Th
3 1
Direct
0.0000 0.0000 0.5000 K
0.0000 0.5000 0.0000 K
0.5000 0.0000 0.0000 K
0.5000 0.5000 0.5000 Th
```

Largest 10 diffraction maxima, in order of rising 2θ, 10 to 80 degrees two-theta:
Position (°2θ)  I/Imax
14.72  698
20.87  642
25.64  1000
29.69  514
33.29  418
36.57  329
42.49  378
45.20  235
50.28  457
57.28  194

2.
Calculated powder diffractogram of CaCu2Bi2O8 for Cu Kα, from the GGA-PBE geometry in the Materials Project.

Structure:
```
CaCu2Bi2O8
1.0
6.7045 0.0000 0.0000
0.0000 9.1080 0.0000
-0.2021 0.0000 13.5232
Ca Cu Bi O
4 8 8 32
Direct
0.1198 0.1593 0.4597 Ca
0.1198 0.3407 0.9597 Ca
0.8802 0.6593 0.0403 Ca
0.8802 0.8407 0.5403 Ca
0.2529 0.6915 0.8815 Cu
0.2529 0.8085 0.3815 Cu
0.3755 0.0505 0.8831 Cu
0.3755 0.4495 0.3831 Cu
0.6245 0.5505 0.6169 Cu
0.6245 0.9495 0.1169 Cu
0.7471 0.1915 0.6185 Cu
0.7471 0.3085 0.1185 Cu
0.1003 0.0505 0.1646 Bi
0.1003 0.4495 0.6646 Bi
0.3879 0.5946 0.1433 Bi
0.3879 0.9054 0.6433 Bi
0.6121 0.0946 0.3567 Bi
0.6121 0.4054 0.8567 Bi
0.8997 0.5505 0.3354 Bi
0.8997 0.9495 0.8354 Bi
0.0185 0.2422 0.6130 O
0.0185 0.2578 0.1130 O
0.1039 0.1006 0.8938 O
0.1039 0.3994 0.3938 O
0.1358 0.0206 0.3128 O
0.1358 0.4794 0.8128 O
0.2089 0.5811 0.0091 O
0.2089 0.9189 0.5091 O
0.3070 0.6253 0.3154 O
0.3070 0.8747 0.8154 O
0.3549 0.5138 0.5888 O
0.3549 0.9862 0.0888 O
0.4172 0.2478 0.9151 O
0.4172 0.2522 0.4151 O
0.4917 0.1233 0.6380 O
0.4917 0.3767 0.1380 O
0.5083 0.6233 0.8620 O
0.5083 0.8767 0.3620 O
0.5828 0.7478 0.5849 O
0.5828 0.7522 0.0849 O
0.6451 0.0138 0.9112 O
0.6451 0.4862 0.4112 O
0.6930 0.1253 0.1846 O
0.6930 0.3747 0.6846 O
0.7911 0.0811 0.4909 O
0.7911 0.4189 0.9909 O
0.8642 0.5206 0.1872 O
0.8642 0.9794 0.6872 O
0.8961 0.6006 0.6062 O
0.8961 0.8994 0.1062 O
0.9815 0.7422 0.8870 O
0.9815 0.7578 0.3870 O
```

Largest 10 diffraction maxima, in order of rising 2θ, 10 to 80 degrees two-theta:
Position (°2θ)  I/Imax
19.49  530
20.58  623
25.59  914
25.90  427
26.36  957
27.20  431
29.05  1000
29.24  682
31.06  487
40.11  573